# 1
Theoretical X-ray diffraction stick pattern
Compound: Ta4Mo
Radiation: λ = 1.5418 Å (Cu Kα)
Structure: DFT lattice parameters and positions (GGA-PBE)
Kinematic intensities with the Lorentz-polarization factor, no thermal factor.

Atomic structure:
Cell lengths 13.4297, 4.6369, 2.8712 Å; angles 90.00, 98.02, 90.00 degrees
Fractional positions:
Ta 0.0981 0.0000 0.3757
Ta 0.1986 0.5000 0.8067
Ta 0.3014 0.0000 0.1933
Ta 0.4019 0.5000 0.6243
Ta 0.5981 0.5000 0.3757
Ta 0.6986 0.0000 0.8067
Ta 0.8014 0.5000 0.1933
Ta 0.9019 0.0000 0.6243
Mo 0.0000 0.5000 0.0000
Mo 0.5000 0.0000 0.0000

Principal peaks in the range 2θ = 10–80°, low angle first:
2theta	d [Å]	I/Imax
38.54	2.336	100
38.69	2.327	50
38.84	2.318	50
39.04	2.307	97
56.01	1.642	51
69.57	1.351	26
70.13	1.342	17
70.29	1.339	17
70.46	1.336	17
70.60	1.334	17

=====

# 2
Theoretical X-ray diffraction stick pattern
Compound: Ta7Mo3
Radiation: λ = 1.5418 Å (Cu Kα)
Structure: DFT lattice parameters and positions (GGA-PBE)
Kinematic intensities with the Lorentz-polarization factor, no thermal factor.

Atomic structure:
Cell lengths 8.7627, 8.7627, 5.5249 Å; angles 90.00, 90.00, 120.00 degrees
Fractional positions:
Ta 0.0000 0.5000 0.0000
Ta 0.0000 0.5000 0.5000
Ta 0.1237 0.2474 0.2500
Ta 0.1237 0.8763 0.2500
Ta 0.2474 0.1237 0.7500
Ta 0.3333 0.6667 0.2500
Ta 0.5000 0.0000 0.0000
Ta 0.5000 0.0000 0.5000
Ta 0.5000 0.5000 0.0000
Ta 0.5000 0.5000 0.5000
Ta 0.6667 0.3333 0.7500
Ta 0.7526 0.8763 0.2500
Ta 0.8763 0.1237 0.7500
Ta 0.8763 0.7526 0.7500
Mo 0.2211 0.4422 0.7500
Mo 0.2211 0.7789 0.7500
Mo 0.4422 0.2211 0.2500
Mo 0.5578 0.7789 0.7500
Mo 0.7789 0.2211 0.2500
Mo 0.7789 0.5578 0.2500

Principal peaks in the range 2θ = 10–80°, low angle first:
2theta	d [Å]	I/Imax
31.18	2.868	19
34.55	2.596	16
35.26	2.546	67
39.17	2.300	63
40.39	2.233	100
41.21	2.191	45
42.97	2.105	15
59.07	1.564	17
62.37	1.489	16
73.32	1.291	25

=====

# 3
Theoretical X-ray diffraction stick pattern
Compound: TaMo3
Radiation: λ = 1.5418 Å (Cu Kα)
Structure: DFT lattice parameters and positions (GGA-PBE)
Kinematic intensities with the Lorentz-polarization factor, no thermal factor.

Atomic structure:
Cell lengths 4.5086, 4.5289, 12.8119 Å; angles 90.00, 90.00, 90.00 degrees
Fractional positions:
Ta 0.0000 0.2500 0.0646
Ta 0.0000 0.7500 0.9354
Ta 0.5000 0.2500 0.4354
Ta 0.5000 0.7500 0.5646
Mo 0.0000 0.2500 0.3104
Mo 0.0000 0.2500 0.5632
Mo 0.0000 0.2500 0.8116
Mo 0.0000 0.7500 0.1884
Mo 0.0000 0.7500 0.4368
Mo 0.0000 0.7500 0.6896
Mo 0.5000 0.2500 0.1896
Mo 0.5000 0.2500 0.6884
Mo 0.5000 0.2500 0.9368
Mo 0.5000 0.7500 0.0632
Mo 0.5000 0.7500 0.3116
Mo 0.5000 0.7500 0.8104

Principal peaks in the range 2θ = 10–80°, low angle first:
2theta	d [Å]	I/Imax
13.82	6.406	3
20.87	4.256	6
31.28	2.859	3
39.84	2.263	100
39.99	2.254	20
57.55	1.601	7
57.70	1.598	13
72.28	1.307	20
72.38	1.306	7
72.55	1.303	13

=====

# 4
Theoretical X-ray diffraction stick pattern
Compound: Ta4Mo
Radiation: λ = 1.5418 Å (Cu Kα)
Structure: DFT lattice parameters and positions (GGA-PBE)
Kinematic intensities with the Lorentz-polarization factor, no thermal factor.

Atomic structure:
Cell lengths 4.6432, 4.6432, 14.2411 Å; angles 90.00, 90.00, 120.00 degrees
Fractional positions:
Ta 0.0000 0.0000 0.1029
Ta 0.0000 0.0000 0.3057
Ta 0.0000 0.0000 0.6943
Ta 0.0000 0.0000 0.8971
Ta 0.3333 0.6667 0.3610
Ta 0.3333 0.6667 0.5637
Ta 0.3333 0.6667 0.7696
Ta 0.3333 0.6667 0.9724
Ta 0.6667 0.3333 0.0276
Ta 0.6667 0.3333 0.2304
Ta 0.6667 0.3333 0.4363
Ta 0.6667 0.3333 0.6390
Mo 0.0000 0.0000 0.5000
Mo 0.3333 0.6667 0.1667
Mo 0.6667 0.3333 0.8333

Principal peaks in the range 2θ = 10–80°, low angle first:
2theta	d [Å]	I/Imax
18.69	4.747	1
22.98	3.870	1
25.44	3.501	1
33.62	2.666	2
38.77	2.323	100
43.39	2.086	1
55.98	1.643	17
70.16	1.341	26
70.22	1.340	9
72.26	1.308	1

=====

# 5
Theoretical X-ray diffraction stick pattern
Compound: Ta4Mo3
Radiation: λ = 1.5418 Å (Cu Kα)
Structure: DFT lattice parameters and positions (GGA-PBE)
Kinematic intensities with the Lorentz-polarization factor, no thermal factor.

Atomic structure:
Cell lengths 15.8825, 15.7912, 2.8560 Å; angles 86.65, 83.01, 10.34 degrees
Fractional positions:
Ta 0.0708 0.0708 0.9292
Ta 0.2121 0.2121 0.7879
Ta 0.7879 0.7879 0.2121
Ta 0.9292 0.9292 0.0708
Mo 0.3582 0.3582 0.6418
Mo 0.5000 0.5000 0.5000
Mo 0.6418 0.6418 0.3582

Principal peaks in the range 2θ = 10–80°, low angle first:
2theta	d [Å]	I/Imax
22.64	3.927	5
33.68	2.661	5
38.30	2.350	27
39.26	2.295	100
40.19	2.244	23
56.72	1.623	25
69.88	1.346	18
70.53	1.335	9
71.79	1.315	8
72.41	1.305	16

=====

# 6
Theoretical X-ray diffraction stick pattern
Compound: Ta2Mo3
Radiation: λ = 1.5418 Å (Cu Kα)
Structure: DFT lattice parameters and positions (GGA-PBE)
Kinematic intensities with the Lorentz-polarization factor, no thermal factor.

Atomic structure:
Cell lengths 3.2164, 3.2164, 16.0809 Å; angles 90.00, 90.00, 90.00 degrees
Fractional positions:
Ta 0.0000 0.0000 0.1007
Ta 0.0000 0.0000 0.3014
Ta 0.0000 0.0000 0.6986
Ta 0.0000 0.0000 0.8993
Mo 0.0000 0.0000 0.5000
Mo 0.5000 0.5000 0.0000
Mo 0.5000 0.5000 0.2019
Mo 0.5000 0.5000 0.4035
Mo 0.5000 0.5000 0.5965
Mo 0.5000 0.5000 0.7981

Principal peaks in the range 2θ = 10–80°, low angle first:
2theta	d [Å]	I/Imax
11.00	8.040	1
27.74	3.216	8
28.30	3.154	1
29.92	2.986	1
35.75	2.512	1
39.63	2.274	100
49.06	1.857	2
57.29	1.608	17
64.82	1.438	3
71.91	1.313	34

=====

# 7
Theoretical X-ray diffraction stick pattern
Compound: Ta3Mo4
Radiation: λ = 1.5418 Å (Cu Kα)
Structure: DFT lattice parameters and positions (GGA-PBE)
Kinematic intensities with the Lorentz-polarization factor, no thermal factor.

Atomic structure:
Cell lengths 9.6759, 4.5624, 5.3315 Å; angles 90.00, 95.32, 90.00 degrees
Fractional positions:
Ta 0.0000 0.0000 0.0000
Ta 0.0690 0.5000 0.3038
Ta 0.3604 0.5000 0.4467
Ta 0.5000 0.5000 0.0000
Ta 0.5690 0.0000 0.3038
Ta 0.8604 0.0000 0.4467
Mo 0.1467 0.0000 0.5801
Mo 0.2124 0.5000 0.8710
Mo 0.2853 0.0000 0.1520
Mo 0.4286 0.0000 0.7311
Mo 0.6467 0.5000 0.5801
Mo 0.7124 0.0000 0.8710
Mo 0.7853 0.5000 0.1520
Mo 0.9286 0.5000 0.7311

Principal peaks in the range 2θ = 10–80°, low angle first:
2theta	d [Å]	I/Imax
18.42	4.817	4
21.55	4.123	4
39.45	2.284	100
39.64	2.274	98
57.09	1.613	11
57.20	1.611	22
71.42	1.321	6
71.62	1.318	34
71.75	1.316	11
72.06	1.311	16

=====

# 8
Theoretical X-ray diffraction stick pattern
Compound: Ta5Mo
Radiation: λ = 1.5418 Å (Cu Kα)
Structure: DFT lattice parameters and positions (GGA-PBE)
Kinematic intensities with the Lorentz-polarization factor, no thermal factor.

Atomic structure:
Cell lengths 2.8714, 5.4231, 7.1538 Å; angles 78.12, 82.33, 79.87 degrees
Fractional positions:
Ta 0.0000 0.0000 0.0000
Ta 0.1801 0.1699 0.3299
Ta 0.3436 0.3345 0.6710
Ta 0.6564 0.6655 0.3290
Ta 0.8199 0.8301 0.6701
Mo 0.5000 0.5000 0.0000

Principal peaks in the range 2θ = 10–80°, low angle first:
2theta	d [Å]	I/Imax
38.56	2.335	100
38.79	2.322	33
38.92	2.314	65
55.86	1.646	23
56.01	1.642	11
69.54	1.352	18
70.06	1.343	12
70.24	1.340	23
70.32	1.339	12
70.57	1.335	6

=====

# 9
Theoretical X-ray diffraction stick pattern
Compound: Ta3Mo4
Radiation: λ = 1.5418 Å (Cu Kα)
Structure: DFT lattice parameters and positions (GGA-PBE)
Kinematic intensities with the Lorentz-polarization factor, no thermal factor.

Atomic structure:
Cell lengths 3.2123, 3.2123, 22.7174 Å; angles 90.00, 90.00, 90.00 degrees
Fractional positions:
Ta 0.0000 0.0000 0.0000
Ta 0.0000 0.0000 0.1418
Ta 0.0000 0.0000 0.7193
Ta 0.5000 0.5000 0.2193
Ta 0.5000 0.5000 0.5000
Ta 0.5000 0.5000 0.6418
Mo 0.0000 0.0000 0.2901
Mo 0.0000 0.0000 0.4274
Mo 0.0000 0.0000 0.5714
Mo 0.0000 0.0000 0.8593
Mo 0.5000 0.5000 0.0714
Mo 0.5000 0.5000 0.3593
Mo 0.5000 0.5000 0.7901
Mo 0.5000 0.5000 0.9274

Principal peaks in the range 2θ = 10–80°, low angle first:
2theta	d [Å]	I/Imax
15.60	5.679	2
28.05	3.181	4
30.22	2.957	4
34.18	2.623	4
39.47	2.283	100
39.68	2.271	51
56.73	1.623	8
57.37	1.606	18
71.45	1.320	17
71.87	1.314	34

=====

# 10
Theoretical X-ray diffraction stick pattern
Compound: Ta4TcMo3
Radiation: λ = 1.5418 Å (Cu Kα)
Structure: DFT lattice parameters and positions (GGA-PBE)
Kinematic intensities with the Lorentz-polarization factor, no thermal factor.

Atomic structure:
Cell lengths 3.2185, 4.5508, 9.1134 Å; angles 90.00, 90.00, 90.00 degrees
Fractional positions:
Ta 0.0000 0.0000 0.0000
Ta 0.0000 0.0000 0.5000
Ta 0.0000 0.5000 0.2473
Ta 0.0000 0.5000 0.7527
Tc 0.5000 0.5000 0.0000
Mo 0.5000 0.0000 0.2487
Mo 0.5000 0.0000 0.7513
Mo 0.5000 0.5000 0.5000

Principal peaks in the range 2θ = 10–80°, low angle first:
2theta	d [Å]	I/Imax
27.71	3.219	10
39.59	2.277	100
49.01	1.859	3
57.23	1.610	17
64.75	1.440	4
71.82	1.314	34

=====

# 11
Theoretical X-ray diffraction stick pattern
Compound: Ta4TcMo
Radiation: λ = 1.5418 Å (Cu Kα)
Structure: DFT lattice parameters and positions (GGA-PBE)
Kinematic intensities with the Lorentz-polarization factor, no thermal factor.

Atomic structure:
Cell lengths 3.2209, 3.2209, 9.8671 Å; angles 90.00, 90.00, 90.00 degrees
Fractional positions:
Ta 0.0000 0.0000 0.1587
Ta 0.0000 0.0000 0.8413
Ta 0.5000 0.5000 0.3393
Ta 0.5000 0.5000 0.6607
Tc 0.5000 0.5000 0.0000
Mo 0.0000 0.0000 0.5000

Principal peaks in the range 2θ = 10–80°, low angle first:
2theta	d [Å]	I/Imax
29.17	3.062	9
36.42	2.467	3
39.15	2.301	100
39.57	2.278	49
54.86	1.673	3
55.91	1.645	9
57.20	1.610	17
70.65	1.333	17
71.50	1.319	34
73.31	1.291	2

=====

# 12
Theoretical X-ray diffraction stick pattern
Compound: Ta6TcMo
Radiation: λ = 1.5418 Å (Cu Kα)
Structure: DFT lattice parameters and positions (GGA-PBE)
Kinematic intensities with the Lorentz-polarization factor, no thermal factor.

Atomic structure:
Cell lengths 14.0820, 4.5645, 4.5646 Å; angles 90.00, 108.83, 90.00 degrees
Fractional positions:
Ta 0.1190 0.0000 0.1194
Ta 0.1190 0.5000 0.6193
Ta 0.2489 0.0000 0.7490
Ta 0.2511 0.5000 0.2510
Ta 0.3810 0.0000 0.3807
Ta 0.3810 0.5000 0.8806
Ta 0.6190 0.0000 0.6193
Ta 0.6190 0.5000 0.1194
Ta 0.7489 0.5000 0.7490
Ta 0.7511 0.0000 0.2510
Ta 0.8810 0.0000 0.8806
Ta 0.8810 0.5000 0.3807
Tc 0.0000 0.5000 0.0000
Tc 0.5000 0.0000 0.0000
Mo 0.0000 0.0000 0.5000
Mo 0.5000 0.5000 0.5000

Principal peaks in the range 2θ = 10–80°, low angle first:
2theta	d [Å]	I/Imax
13.29	6.664	2
30.78	2.905	5
38.85	2.318	100
39.48	2.282	48
55.13	1.666	9
57.07	1.614	17
57.93	1.592	2
69.89	1.346	13
69.96	1.345	4
71.19	1.324	34